Entry 1:
Computed powder diffraction line list of Ta14ReOs for Cu Kα (weighted mean of Kα1 and Kα2), from a GGA-PBE-relaxed structure.
No peak broadening, texture or thermal motion is included.

Main lines, low angle first (10° ≤ 2θ ≤ 90°):
d (Å), Position (°2θ), intensity
2.329, 38.66, 204
2.320, 38.82, 1000
1.644, 55.94, 139
1.637, 56.20, 70
1.343, 70.07, 144
1.339, 70.28, 209
1.338, 70.39, 70
1.165, 82.91, 23
1.160, 83.31, 112

Lattice parameters (Å, degrees): 5.6934 5.6934 9.2812 90.00 90.00 109.80
Fractional positions:
Ta: 0.0000 0.0000 0.0000
Ta: 0.0000 0.5000 0.0000
Ta: 0.0000 0.5000 0.5000
Ta: 0.2494 0.2494 0.2604
Ta: 0.2494 0.2494 0.7396
Ta: 0.2499 0.7501 0.2491
Ta: 0.2499 0.7501 0.7509
Ta: 0.5000 0.0000 0.0000
Ta: 0.5000 0.0000 0.5000
Ta: 0.5000 0.5000 0.0000
Ta: 0.7501 0.2499 0.2491
Ta: 0.7501 0.2499 0.7509
Ta: 0.7506 0.7506 0.2604
Ta: 0.7506 0.7506 0.7396
Re: 0.0000 0.0000 0.5000
Os: 0.5000 0.5000 0.5000

***

Entry 2:
Computed powder diffraction line list of RbGaSn4 for Cu Kα (weighted mean of Kα1 and Kα2), from a GGA-PBE-relaxed structure.
No peak broadening, texture or thermal motion is included.

Main lines, low angle first (10° ≤ 2θ ≤ 90°):
d (Å), Position (°2θ), intensity
3.874, 22.96, 455
3.291, 27.09, 209
3.016, 29.62, 304
2.977, 30.01, 258
2.802, 31.94, 1000
2.530, 35.48, 859
2.231, 40.44, 311
2.123, 42.58, 319
1.538, 60.17, 197
1.323, 71.28, 220

Lattice parameters (Å, degrees): 13.1660 7.1142 7.1142 145.27 90.00 90.00
Fractional positions:
Rb: 0.0000 0.0000 0.0000
Rb: 0.5000 0.0000 0.0000
Ga: 0.2500 0.2045 0.7978
Ga: 0.7500 0.7978 0.2045
Sn: 0.0827 0.7163 0.2821
Sn: 0.2500 0.5512 0.4541
Sn: 0.2500 0.8699 0.1365
Sn: 0.4173 0.7163 0.2821
Sn: 0.5827 0.2821 0.7163
Sn: 0.7500 0.1365 0.8699
Sn: 0.7500 0.4541 0.5512
Sn: 0.9173 0.2821 0.7163

***

Entry 3:
Computed powder diffraction line list of RbLiDy2I8 for Cu Kα (weighted mean of Kα1 and Kα2), from a GGA-PBE-relaxed structure.
No peak broadening, texture or thermal motion is included.

Main lines, low angle first (10° ≤ 2θ ≤ 90°):
d (Å), Position (°2θ), intensity
6.845, 12.93, 284
5.533, 16.02, 307
3.643, 24.44, 916
3.216, 27.74, 693
3.024, 29.54, 1000
2.848, 31.41, 371
2.494, 36.01, 340
2.311, 38.98, 301
2.282, 39.50, 635
1.995, 45.47, 480

Lattice parameters (Å, degrees): 7.9035 7.9035 9.3972 90.00 90.00 120.00
Fractional positions:
Rb: 0.0000 0.0000 0.0000
Li: 0.0000 0.0000 0.5000
Dy: 0.3333 0.6667 0.4063
Dy: 0.6667 0.3333 0.5937
I: 0.0647 0.3619 0.6545
I: 0.2971 0.9353 0.6545
I: 0.3333 0.6667 0.0901
I: 0.3619 0.2971 0.3455
I: 0.6381 0.7029 0.6545
I: 0.6667 0.3333 0.9099
I: 0.7029 0.0647 0.3455
I: 0.9353 0.6381 0.3455

***

Entry 4:
Computed powder diffraction line list of TbEuErTm for Cu Kα (weighted mean of Kα1 and Kα2), from a GGA-PBE-relaxed structure.
No peak broadening, texture or thermal motion is included.

Main lines, low angle first (10° ≤ 2θ ≤ 90°):
d (Å), Position (°2θ), intensity
2.853, 31.36, 1000
2.017, 44.93, 186
1.647, 55.81, 394
1.426, 65.43, 122
1.276, 74.35, 169
1.165, 82.89, 43

Lattice parameters (Å, degrees): 8.0692 8.0692 8.0692 90.00 90.00 90.00
Fractional positions:
Tb: 0.0000 0.0000 0.0000
Tb: 0.0000 0.5000 0.5000
Tb: 0.5000 0.0000 0.5000
Tb: 0.5000 0.5000 0.0000
Eu: 0.2500 0.2500 0.2500
Eu: 0.2500 0.7500 0.7500
Eu: 0.7500 0.2500 0.7500
Eu: 0.7500 0.7500 0.2500
Er: 0.2500 0.2500 0.7500
Er: 0.2500 0.7500 0.2500
Er: 0.7500 0.2500 0.2500
Er: 0.7500 0.7500 0.7500
Tm: 0.0000 0.0000 0.5000
Tm: 0.0000 0.5000 0.0000
Tm: 0.5000 0.0000 0.0000
Tm: 0.5000 0.5000 0.5000

***

Entry 5:
Computed powder diffraction line list of Ac5La6Sm2 for Cu Kα (weighted mean of Kα1 and Kα2), from a GGA-PBE-relaxed structure.
No peak broadening, texture or thermal motion is included.

Main lines, low angle first (10° ≤ 2θ ≤ 90°):
d (Å), Position (°2θ), intensity
3.280, 27.18, 620
3.089, 28.90, 954
3.058, 29.20, 656
3.012, 29.66, 898
2.972, 30.07, 993
2.804, 31.92, 1000
2.743, 32.64, 364
2.608, 34.39, 421
1.915, 47.47, 318
1.907, 47.69, 316

Lattice parameters (Å, degrees): 12.1601 22.3561 3.8303 90.00 90.00 90.00
Fractional positions:
Ac: 0.0000 0.0000 0.0000
Ac: 0.0524 0.2907 0.0000
Ac: 0.1926 0.5790 0.0000
Ac: 0.3074 0.0790 0.0000
Ac: 0.4476 0.7907 0.0000
Ac: 0.5000 0.5000 0.0000
Ac: 0.5524 0.2093 0.0000
Ac: 0.6926 0.9210 0.0000
Ac: 0.8074 0.4210 0.0000
Ac: 0.9476 0.7093 0.0000
La: 0.0569 0.1448 0.5000
La: 0.0839 0.4378 0.5000
La: 0.1879 0.8717 0.0000
La: 0.3121 0.3717 0.0000
La: 0.4161 0.9378 0.5000
La: 0.4431 0.6448 0.5000
La: 0.5569 0.3552 0.5000
La: 0.5839 0.0622 0.5000
La: 0.6879 0.6283 0.0000
La: 0.8121 0.1283 0.0000
La: 0.9161 0.5622 0.5000
La: 0.9431 0.8552 0.5000
Sm: 0.2061 0.7328 0.5000
Sm: 0.2939 0.2328 0.5000
Sm: 0.7061 0.7672 0.5000
Sm: 0.7939 0.2672 0.5000

***

Entry 6:
Computed powder diffraction line list of Sc8CuIr2 for Cu Kα (weighted mean of Kα1 and Kα2), from a GGA-PBE-relaxed structure.
No peak broadening, texture or thermal motion is included.

Main lines, low angle first (10° ≤ 2θ ≤ 90°):
d (Å), Position (°2θ), intensity
6.081, 14.57, 420
4.902, 18.10, 706
3.851, 23.10, 518
3.817, 23.31, 576
3.588, 24.82, 454
3.253, 27.41, 380
2.730, 32.81, 536
2.536, 35.39, 425
2.453, 36.63, 541
2.169, 41.64, 1000

Lattice parameters (Å, degrees): 7.2858 7.2858 5.1080 98.90 98.90 113.17
Fractional positions:
Sc: 0.0000 0.0000 0.0000
Sc: 0.0453 0.3017 0.5945
Sc: 0.1417 0.6040 0.1875
Sc: 0.3017 0.0453 0.5945
Sc: 0.4449 0.7022 0.7772
Sc: 0.6040 0.1417 0.1875
Sc: 0.7022 0.4449 0.7772
Sc: 0.7409 0.7409 0.3742
Cu: 0.3699 0.3699 0.2254
Ir: 0.0617 0.6852 0.6864
Ir: 0.6852 0.0617 0.6864

***

Entry 7:
Computed powder diffraction line list of BaCd3Ge for Cu Kα (weighted mean of Kα1 and Kα2), from a GGA-PBE-relaxed structure.
No peak broadening, texture or thermal motion is included.

Main lines, low angle first (10° ≤ 2θ ≤ 90°):
d (Å), Position (°2θ), intensity
3.738, 23.80, 144
2.908, 30.75, 1000
2.616, 34.28, 446
2.313, 38.93, 503
2.277, 39.57, 250
1.923, 47.26, 96
1.733, 52.83, 253
1.636, 56.24, 166
1.426, 65.46, 233
1.308, 72.22, 115

Lattice parameters (Å, degrees): 4.6267 4.6267 6.3442 90.00 90.00 90.00
Fractional positions:
Ba: 0.0000 0.0000 0.0000
Cd: 0.0000 0.5000 0.4689
Cd: 0.5000 0.0000 0.4689
Cd: 0.5000 0.5000 0.7603
Ge: 0.5000 0.5000 0.1990

***

Entry 8:
Computed powder diffraction line list of TbPd2Pb2 for Cu Kα (weighted mean of Kα1 and Kα2), from a GGA-PBE-relaxed structure.
No peak broadening, texture or thermal motion is included.

Main lines, low angle first (10° ≤ 2θ ≤ 90°):
d (Å), Position (°2θ), intensity
3.441, 25.90, 204
3.351, 26.60, 94
2.461, 36.51, 217
2.402, 37.45, 1000
1.720, 53.25, 148
1.409, 66.34, 151
1.388, 67.48, 144
1.385, 67.64, 68
1.375, 68.21, 67
1.200, 79.92, 87

Lattice parameters (Å, degrees): 4.8114 4.9222 10.0530 90.00 90.03 90.00
Fractional positions:
Tb: 0.2483 0.2500 0.1749
Tb: 0.7517 0.7500 0.8251
Pd: 0.2498 0.7500 0.3290
Pd: 0.2535 0.7500 0.9924
Pd: 0.7465 0.2500 0.0076
Pd: 0.7502 0.2500 0.6710
Pb: 0.2493 0.2500 0.8352
Pb: 0.2503 0.2500 0.5075
Pb: 0.7497 0.7500 0.4925
Pb: 0.7507 0.7500 0.1648

***

Entry 9:
Computed powder diffraction line list of Nb21S8 for Cu Kα (weighted mean of Kα1 and Kα2), from a GGA-PBE-relaxed structure.
No peak broadening, texture or thermal motion is included.

Main lines, low angle first (10° ≤ 2θ ≤ 90°):
d (Å), Position (°2θ), intensity
2.903, 30.80, 109
2.743, 32.64, 128
2.677, 33.48, 175
2.610, 34.36, 131
2.393, 37.59, 1000
2.302, 39.13, 682
2.223, 40.59, 282
1.690, 54.27, 184
1.401, 66.78, 164
1.381, 67.85, 194

Lattice parameters (Å, degrees): 12.0893 12.0893 12.0893 91.12 91.12 163.93
Fractional positions:
Nb: 0.0000 0.0000 0.0000
Nb: 0.0200 0.2781 0.2981
Nb: 0.0811 0.5497 0.6308
Nb: 0.1850 0.3846 0.5696
Nb: 0.1914 0.8008 0.9922
Nb: 0.1992 0.1914 0.3906
Nb: 0.2781 0.9800 0.2580
Nb: 0.3644 0.4513 0.8157
Nb: 0.3846 0.8150 0.1996
Nb: 0.4503 0.0811 0.5314
Nb: 0.4513 0.6356 0.0869
Nb: 0.5487 0.3644 0.9131
Nb: 0.5497 0.9189 0.4686
Nb: 0.6154 0.1850 0.8004
Nb: 0.6356 0.5487 0.1843
Nb: 0.7219 0.0200 0.7420
Nb: 0.8008 0.8086 0.6094
Nb: 0.8086 0.1992 0.0078
Nb: 0.8150 0.6154 0.4304
Nb: 0.9189 0.4503 0.3692
Nb: 0.9800 0.7219 0.7019
S: 0.0641 0.1375 0.2016
S: 0.1375 0.9359 0.0734
S: 0.2131 0.6365 0.8496
S: 0.3635 0.2131 0.5766
S: 0.6365 0.7869 0.4234
S: 0.7869 0.3635 0.1504
S: 0.8625 0.0641 0.9266
S: 0.9359 0.8625 0.7984

***

Entry 10:
Computed powder diffraction line list of Sm2Y2Pd3 for Cu Kα (weighted mean of Kα1 and Kα2), from a GGA-PBE-relaxed structure.
No peak broadening, texture or thermal motion is included.

Main lines, low angle first (10° ≤ 2θ ≤ 90°):
d (Å), Position (°2θ), intensity
4.722, 18.79, 134
2.504, 35.87, 508
2.492, 36.03, 1000
1.767, 51.73, 177
1.760, 51.94, 85
1.447, 64.41, 90
1.443, 64.61, 176
1.440, 64.76, 131
1.438, 64.86, 86
1.247, 76.38, 80

Lattice parameters (Å, degrees): 4.9853 5.0122 7.8636 71.62 71.69 89.98
Fractional positions:
Sm: 0.1260 0.1284 0.2514
Sm: 0.8740 0.8716 0.7486
Y: 0.3716 0.3713 0.7529
Y: 0.6284 0.6287 0.2471
Pd: 0.2443 0.7467 0.0134
Pd: 0.5000 0.0000 0.5000
Pd: 0.7557 0.2533 0.9866

***

Entry 11:
Computed powder diffraction line list of USi2MoOs for Cu Kα (weighted mean of Kα1 and Kα2), from a GGA-PBE-relaxed structure.
No peak broadening, texture or thermal motion is included.

Main lines, low angle first (10° ≤ 2θ ≤ 90°):
d (Å), Position (°2θ), intensity
3.836, 23.19, 445
2.585, 34.70, 309
2.529, 35.50, 1000
2.474, 36.31, 183
2.080, 43.50, 346
1.829, 49.87, 127
1.621, 56.80, 155
1.592, 57.91, 195
1.439, 64.80, 168
1.272, 74.64, 240

Lattice parameters (Å, degrees): 4.1608 4.1608 9.8972 90.00 90.00 90.00
Fractional positions:
U: 0.0000 0.0000 0.0000
U: 0.5000 0.5000 0.5000
Si: 0.0000 0.0000 0.3802
Si: 0.0000 0.0000 0.6198
Si: 0.5000 0.5000 0.1198
Si: 0.5000 0.5000 0.8802
Mo: 0.0000 0.5000 0.2500
Mo: 0.5000 0.0000 0.7500
Os: 0.0000 0.5000 0.7500
Os: 0.5000 0.0000 0.2500

***

Entry 12:
Computed powder diffraction line list of Sm3AlRu3 for Cu Kα (weighted mean of Kα1 and Kα2), from a GGA-PBE-relaxed structure.
No peak broadening, texture or thermal motion is included.

Main lines, low angle first (10° ≤ 2θ ≤ 90°):
d (Å), Position (°2θ), intensity
3.376, 26.40, 419
2.950, 30.30, 525
2.712, 33.02, 701
2.558, 35.08, 697
2.327, 38.70, 1000
2.303, 39.11, 458
2.263, 39.84, 371
2.088, 43.33, 476
1.547, 59.78, 261
1.436, 64.95, 236

Lattice parameters (Å, degrees): 5.7441 5.7441 13.5771 90.00 90.00 137.37
Fractional positions:
Sm: 0.0086 0.9914 0.7500
Sm: 0.2958 0.7042 0.6058
Sm: 0.2958 0.7042 0.8942
Sm: 0.7042 0.2958 0.1058
Sm: 0.7042 0.2958 0.3942
Sm: 0.9914 0.0086 0.2500
Al: 0.0000 0.0000 0.0000
Al: 0.0000 0.0000 0.5000
Ru: 0.2844 0.7156 0.2500
Ru: 0.4170 0.5830 0.0933
Ru: 0.4170 0.5830 0.4067
Ru: 0.5830 0.4170 0.5933
Ru: 0.5830 0.4170 0.9067
Ru: 0.7156 0.2844 0.7500

***

Entry 13:
Computed powder diffraction line list of Hg3TeF4 for Cu Kα (weighted mean of Kα1 and Kα2), from a GGA-PBE-relaxed structure.
No peak broadening, texture or thermal motion is included.

Main lines, low angle first (10° ≤ 2θ ≤ 90°):
d (Å), Position (°2θ), intensity
4.511, 19.68, 720
3.911, 22.74, 420
3.263, 27.33, 663
3.244, 27.50, 1000
3.198, 27.90, 557
2.606, 34.41, 438
2.254, 40.00, 354
2.182, 41.38, 299
1.857, 49.06, 281
1.853, 49.17, 449

Lattice parameters (Å, degrees): 6.9488 6.9488 9.8959 110.03 110.03 54.72
Fractional positions:
Hg: 0.0009 0.9991 0.5000
Hg: 0.2236 0.2853 0.8933
Hg: 0.2853 0.2236 0.3933
Hg: 0.6392 0.6721 0.6951
Hg: 0.6721 0.6392 0.1951
Hg: 0.9991 0.0009 0.0000
Te: 0.0556 0.6505 0.7684
Te: 0.6505 0.0556 0.2684
F: 0.0584 0.3157 0.0902
F: 0.2022 0.9021 0.2297
F: 0.3157 0.0584 0.5902
F: 0.3386 0.6261 0.5770
F: 0.4424 0.9126 0.9187
F: 0.6261 0.3386 0.0770
F: 0.9021 0.2022 0.7297
F: 0.9126 0.4424 0.4187